1.
Computed powder diffractogram of PPtIO2 for Cu Ka, from a DFT-relaxed cell (GGA-PBE, Alexandria).
Peak positions follow from Bragg's law for the DFT cell and can differ from measured ones.

Most intense lines, 2θ = 10–80°, sorted by position:
| 2θ (°) | I_rel |
| --- | --- |
| 14.1 | 100 |
| 28.4 | 59 |
| 34.9 | 37 |
| 37.9 | 62 |
| 45.7 | 35 |
| 50.3 | 21 |
| 52.5 | 16 |
| 56.8 | 19 |
| 58.7 | 27 |
| 70.3 | 10 |

```
data_PPtIO2
_symmetry_space_group_name_H-M 'P 4/m m m'
_symmetry_Int_Tables_number 123
_symmetry_space_group_name_Hall '-P 4 2'
_cell_length_a 3.6317
_cell_length_b 3.6317
_cell_length_c 6.2758
_cell_angle_alpha 90.00
_cell_angle_beta 90.00
_cell_angle_gamma 90.00
loop_
_atom_site_label
_atom_site_type_symbol
_atom_site_fract_x
_atom_site_fract_y
_atom_site_fract_z
P1 P 0.0000 0.0000 0.0000
Pt1 Pt 0.5000 0.5000 0.5000
I1 I 0.0000 0.0000 0.5000
O1 O 0.0000 0.5000 0.0000
```

---

2.
Computed powder diffractogram of KLiPO4 for Cu Ka, from a DFT-relaxed cell (GGA-PBE, Alexandria).
Peak positions follow from Bragg's law for the DFT cell and can differ from measured ones.

Most intense lines, 2θ = 10–80°, sorted by position:
| 2θ (°) | I_rel |
| --- | --- |
| 19.6 | 100 |
| 32.1 | 46 |
| 32.7 | 13 |
| 37.4 | 13 |
| 38.4 | 30 |
| 39.8 | 9 |
| 50.5 | 8 |
| 56.8 | 8 |
| 58.0 | 12 |
| 67.1 | 7 |

```
data_KLiPO4
_symmetry_space_group_name_H-M 'I -4'
_symmetry_Int_Tables_number 82
_cell_length_a 5.4791
_cell_length_b 5.4791
_cell_length_c 8.0370
_cell_angle_alpha 90.00
_cell_angle_beta 90.00
_cell_angle_gamma 90.00
loop_
_symmetry_equiv_pos_as_xyz
'x,y,z'
'y,-x,-z'
'-x,-y,z'
'-y,x,-z'
'x+1/2,y+1/2,z+1/2'
'y+1/2,-x+1/2,-z+1/2'
'-x+1/2,-y+1/2,z+1/2'
'-y+1/2,x+1/2,-z+1/2'
loop_
_atom_site_label
_atom_site_type_symbol
_atom_site_fract_x
_atom_site_fract_y
_atom_site_fract_z
K1 K 0.0000 0.0000 0.0000
Li1 Li 0.0000 0.0000 0.5000
P1 P 0.0000 0.5000 0.7500
O1 O 0.0781 0.2852 0.6371
```